# Sr3TlO
Theoretical powder diffraction line list, Cu Kα X-rays. Input: a DFT-relaxed cell (PBE, Alexandria).

Structural model:
Lattice parameters (Å, degrees): 6.3897 15.2215 7.2157 90.00 90.00 90.00
Atoms (fractional coordinates):
1 Sr 0.0052 0.1179 0.0622
2 Sr 0.0052 0.3821 0.0622
3 Sr 0.0462 0.2500 0.5948
4 Sr 0.4538 0.7500 0.0948
5 Sr 0.4948 0.6179 0.5622
6 Sr 0.4948 0.8821 0.5622
7 Sr 0.5052 0.1179 0.4378
8 Sr 0.5052 0.3821 0.4378
9 Sr 0.5462 0.2500 0.9052
10 Sr 0.9538 0.7500 0.4052
11 Sr 0.9948 0.6179 0.9378
12 Sr 0.9948 0.8821 0.9378
13 Tl 0.0000 0.0000 0.5000
14 Tl 0.0000 0.5000 0.5000
15 Tl 0.5000 0.0000 0.0000
16 Tl 0.5000 0.5000 0.0000
17 O 0.0754 0.7500 0.0951
18 O 0.4246 0.2500 0.5951
19 O 0.5754 0.7500 0.4049
20 O 0.9246 0.2500 0.9049

The 12 most intense peaks (15° ≤ 2θ ≤ 90°), sorted by position:
2theta	d/Å	I_rel	hkl
21.9	4.050	20	1 2 1
24.7	3.608	31	0 0 2
27.4	3.260	11	0 2 2
27.9	3.195	36	2 0 0
29.0	3.077	14	1 1 2
30.0	2.978	100	1 4 1
37.6	2.392	20	2 0 2
41.8	2.159	10	1 2 3
46.9	1.937	11	1 4 3
50.7	1.799	28	3 4 1
54.5	1.683	13	0 8 2
62.4	1.489	10	2 8 2

---

# Kr
Theoretical powder diffraction line list, Cu Kα X-rays. Input: a DFT-relaxed cell (PBE, Alexandria).

Structural model:
Lattice parameters (Å, degrees): 4.9364 4.9364 4.9364 90.00 90.00 90.00
Atoms (fractional coordinates):
1 Kr 0.0000 0.0000 0.0000
2 Kr 0.5000 0.5000 0.5000

The 10 most intense peaks (15° ≤ 2θ ≤ 90°), sorted by position:
2theta	d/Å	I_rel	hkl
25.5	3.491	100	1 1 0
36.4	2.468	19	2 0 0
45.0	2.015	41	2 1 1
52.4	1.745	13	2 2 0
59.2	1.561	18	3 1 0
65.5	1.425	4	2 2 2
71.5	1.319	20	3 2 1
77.3	1.234	2	4 0 0
83.0	1.164	10	4 1 1
88.6	1.104	6	4 2 0